MgCoPb2O6: theoretical XRD peak list (Cu Kα (λ = 1.5418 Å)), based on a GGA+U-relaxed structure.
No peak broadening, texture or thermal motion is included.

Peak list (10 most intense, 5° ≤ 2θ ≤ 70°, low angle first)
23.31°, d = 3.816 Å, I 95.9, hkl 1 0 1
32.87°, d = 2.724 Å, I 100.0, hkl 0 1 -1
33.50°, d = 2.675 Å, I 67.6, hkl 1 2 1
33.57°, d = 2.669 Å, I 34.2, hkl 2 1 1
40.65°, d = 2.220 Å, I 26.1, hkl 0 2 0
47.63°, d = 1.909 Å, I 34.4, hkl 0 2 2
47.73°, d = 1.906 Å, I 17.3, hkl 2 2 0
53.28°, d = 1.719 Å, I 17.8, hkl 2 -1 1
58.64°, d = 1.574 Å, I 17.4, hkl 1 -2 1
59.14°, d = 1.562 Å, I 21.3, hkl 0 3 1

Structural model:
Cell: 5.3403 5.3463 5.3582 Å, 61.31 61.16 61.27°
Element x y z (fractional)
1 Mg 0.0000 0.0000 0.0000
2 Co 0.5000 0.5000 0.5000
3 Pb 0.2534 0.2522 0.2583
4 Pb 0.7466 0.7478 0.7417
5 O 0.1699 0.3519 0.7199
6 O 0.2676 0.8272 0.6509
7 O 0.3554 0.7333 0.1683
8 O 0.6446 0.2667 0.8317
9 O 0.7324 0.1728 0.3491
10 O 0.8301 0.6481 0.2801